Record 1
The following is a calculated PXRD pattern of NaSrEr2Te4. It was derived from the PBE geometry in Alexandria, using Cu Kα.
Lines closer than 0.1° are merged.

Principal peaks in the range 2θ from 15° to 90°, low angle first:
| 2θ (°) | I/Imax |
| --- | --- |
| 28.23 | 100 |
| 28.55 | 48 |
| 40.35 | 38 |
| 40.58 | 75 |
| 50.16 | 40 |
| 73.51 | 26 |

Crystal structure
Lattice parameters (Å, degrees): 7.689 7.686 6.323 65.74 65.69 48.56
Positions (direct):
1 Na 0.000 0.000 0.000
2 Sr 0.500 0.500 0.500
3 Er 0.250 0.250 0.250
4 Er 0.750 0.750 0.750
5 Te 0.000 0.000 0.500
6 Te 0.244 0.244 0.756
7 Te 0.500 0.500 0.000
8 Te 0.756 0.756 0.244

Record 2
The following is a calculated PXRD pattern of Al3VS. It was derived from the PBE geometry in Alexandria, using Cu Kα.
Lines closer than 0.1° are merged.

Principal peaks in the range 2θ from 15° to 90°, low angle first:
| 2θ (°) | I/Imax |
| --- | --- |
| 17.96 | 44 |
| 25.51 | 65 |
| 31.37 | 31 |
| 36.38 | 100 |
| 52.40 | 65 |
| 88.55 | 28 |

Crystal structure
Lattice parameters (Å, degrees): 4.939 4.939 4.939 90.00 90.00 90.00
Positions (direct):
1 Al 0.000 0.000 0.500
2 Al 0.000 0.500 0.000
3 Al 0.500 0.000 0.000
4 V 0.000 0.000 0.000
5 S 0.500 0.500 0.500

Record 3
The following is a calculated PXRD pattern of BaPaTe2S8. It was derived from the PBE geometry in Alexandria, using Cu Kα.
Lines closer than 0.1° are merged.

Principal peaks in the range 2θ from 15° to 90°, low angle first:
| 2θ (°) | I/Imax |
| --- | --- |
| 15.28 | 40 |
| 18.31 | 58 |
| 25.38 | 100 |
| 26.63 | 82 |
| 37.12 | 48 |
| 46.27 | 44 |

Crystal structure
Lattice parameters (Å, degrees): 6.694 6.694 8.818 90.00 90.00 120.00
Positions (direct):
1 Ba 0.000 0.000 0.000
2 Pa 0.000 0.000 0.500
3 Te 0.333 0.667 0.713
4 Te 0.667 0.333 0.287
5 S 0.052 0.719 0.313
6 S 0.281 0.333 0.313
7 S 0.333 0.052 0.687
8 S 0.333 0.667 0.972
9 S 0.667 0.333 0.028
10 S 0.667 0.948 0.313
11 S 0.719 0.667 0.687
12 S 0.948 0.281 0.687